Structure and simulated PXRD pattern of LaMnO3 (the PBE+U geometry in the Materials Project; a wavelength of 1.5418 Å).
Neutral-atom scattering factors, no anomalous dispersion.

The 10 most intense peaks (10 to 90 degrees two-theta), by angle:
d (Å), 2θ (°), I (rel.)
3.935, 22.60, 17
2.810, 31.84, 100
2.782, 32.17, 55
2.287, 39.40, 28
2.008, 45.16, 18
1.967, 46.14, 30
1.628, 56.52, 22
1.612, 57.15, 42
1.405, 66.54, 19
1.244, 76.57, 10

Cell and atoms:
Cell: 5.565 8.032 5.564 Å, 90.00 90.00 90.00°
Space group Pnma (No. 62)
One atom of each set of equivalent atoms:
1 La 0.007 0.250 0.003 (multiplicity 4)
2 Mn 0.000 0.000 0.500 (multiplicity 4)
3 O 0.004 0.750 0.501 (multiplicity 4)
4 O 0.197 0.501 0.803 (multiplicity 8)



Structure and simulated PXRD pattern of LaMnO3 (the PBE+U geometry in the Materials Project; a wavelength of 1.5418 Å).
Neutral-atom scattering factors, no anomalous dispersion.

The 10 most intense peaks (10 to 90 degrees two-theta), by angle:
d (Å), 2θ (°), I (rel.)
3.922, 22.67, 17
2.815, 31.79, 100
2.801, 31.95, 30
2.746, 32.61, 27
2.271, 39.68, 14
2.021, 44.85, 18
1.961, 46.30, 29
1.620, 56.84, 22
1.598, 57.67, 21
1.407, 66.43, 18

Cell and atoms:
Cell: 5.492 5.602 8.084 Å, 90.00 90.00 90.00°
Space group Pnnm (No. 58)
One atom of each set of equivalent atoms:
1 La 0.000 0.000 0.249 (multiplicity 4)
2 Mn 0.000 0.500 0.000 (multiplicity 2)
3 Mn 0.000 0.500 0.500 (multiplicity 2)
4 O 0.000 0.500 0.236 (multiplicity 4)
5 O 0.188 0.190 0.500 (multiplicity 4)
6 O 0.202 0.173 0.000 (multiplicity 4)



Structure and simulated PXRD pattern of LaMnO3 (the PBE+U geometry in the Materials Project; a wavelength of 1.5418 Å).
Neutral-atom scattering factors, no anomalous dispersion.

The 10 most intense peaks (10 to 90 degrees two-theta), by angle:
d (Å), 2θ (°), I (rel.)
2.816, 31.78, 100
2.804, 31.92, 99
2.787, 32.12, 57
2.768, 32.34, 55
2.291, 39.33, 28
2.280, 39.52, 27
2.011, 45.09, 36
1.972, 46.02, 30
1.956, 46.43, 29
1.610, 57.23, 42

Cell and atoms:
Cell: 5.536 4.021 5.574 Å, 90.00 90.48 90.00°
Space group P2/m (No. 10)
One atom of each set of equivalent atoms:
1 La 0.000 0.000 0.000 (multiplicity 1)
2 La 0.500 0.000 0.500 (multiplicity 1)
3 Mn 0.000 0.500 0.500 (multiplicity 1)
4 Mn 0.500 0.500 0.000 (multiplicity 1)
5 O 0.000 0.000 0.500 (multiplicity 1)
6 O 0.184 0.500 0.200 (multiplicity 2)
7 O 0.300 0.500 0.680 (multiplicity 2)
8 O 0.500 0.000 0.000 (multiplicity 1)



Structure and simulated PXRD pattern of La5MnOs3O16 (the PBE+U geometry in the Materials Project; a wavelength of 1.5418 Å).
Neutral-atom scattering factors, no anomalous dispersion.

The 10 most intense peaks (10 to 90 degrees two-theta), by angle:
d (Å), 2θ (°), I (rel.)
5.129, 17.29, 22
4.835, 18.35, 34
3.182, 28.04, 87
3.005, 29.73, 65
2.849, 31.40, 100
2.722, 32.91, 30
2.035, 44.53, 36
1.995, 45.47, 24
1.685, 54.46, 24
1.646, 55.85, 35

Cell and atoms:
Cell: 5.706 5.717 10.255 Å, 94.01 93.76 90.86°
Space group P-1 (No. 2)
One atom of each set of equivalent atoms:
1 La 0.000 0.000 0.000 (multiplicity 1)
2 La 0.033 0.506 0.709 (multiplicity 2)
3 La 0.488 0.973 0.297 (multiplicity 2)
4 Mn 0.500 0.500 0.500 (multiplicity 1)
5 Os 0.000 0.000 0.500 (multiplicity 1)
6 Os 0.447 0.448 0.107 (multiplicity 2)
7 O 0.083 0.079 0.687 (multiplicity 2)
8 O 0.178 0.290 0.463 (multiplicity 2)
9 O 0.206 0.689 0.131 (multiplicity 2)
10 O 0.229 0.222 0.175 (multiplicity 2)
11 O 0.297 0.818 0.495 (multiplicity 2)
12 O 0.299 0.779 0.866 (multiplicity 2)
13 O 0.320 0.306 0.933 (multiplicity 2)
14 O 0.461 0.455 0.704 (multiplicity 2)



Structure and simulated PXRD pattern of La2MnPbO9 (the PBE+U geometry in the Materials Project; a wavelength of 1.5418 Å).
Neutral-atom scattering factors, no anomalous dispersion.

The 10 most intense peaks (10 to 90 degrees two-theta), by angle:
d (Å), 2θ (°), I (rel.)
3.802, 23.40, 100
2.731, 32.79, 67
2.647, 33.87, 61
2.267, 39.76, 13
2.172, 41.57, 48
1.901, 47.86, 42
1.722, 53.20, 15
1.679, 54.66, 21
1.544, 59.91, 25
1.323, 71.25, 12

Cell and atoms:
Cell: 5.2938 5.2938 6.8011 Å, 90.00 90.00 120.00°
Space group P3m1 (No. 156)
One atom of each set of equivalent atoms:
1 La 0.0000 0.0000 0.0000 (multiplicity 1)
2 La 0.3333 0.6667 0.6621 (multiplicity 1)
3 Mn 0.3333 0.6667 0.1685 (multiplicity 1)
4 Pb 0.6667 0.3333 0.3919 (multiplicity 1)
5 O 0.0155 0.5078 0.9851 (multiplicity 3)
6 O 0.1685 0.3369 0.3252 (multiplicity 3)
7 O 0.3296 0.1648 0.6636 (multiplicity 3)



Structure and simulated PXRD pattern of La2Mn3PbO9 (the PBE+U geometry in the Materials Project; a wavelength of 1.5418 Å).
Neutral-atom scattering factors, no anomalous dispersion.

The 10 most intense peaks (10 to 90 degrees two-theta), by angle:
d (Å), 2θ (°), I (rel.)
3.947, 22.53, 46
2.805, 31.90, 97
2.777, 32.23, 100
2.287, 39.41, 30
1.974, 45.99, 58
1.620, 56.85, 22
1.614, 57.06, 41
1.598, 57.69, 19
1.389, 67.45, 17
1.244, 76.56, 17

Cell and atoms:
Cell: 5.6106 5.6106 13.5368 Å, 90.00 90.00 120.00°
Space group P-3c1 (No. 165)
One atom of each set of equivalent atoms:
1 La 0.3333 0.6667 0.0845 (multiplicity 4)
2 Mn 0.0000 0.0000 0.0000 (multiplicity 2)
3 Mn 0.3333 0.6667 0.3337 (multiplicity 4)
4 Pb 0.0000 0.0000 0.2500 (multiplicity 2)
5 O 0.0000 0.4555 0.2500 (multiplicity 6)
6 O 0.1089 0.3418 0.9220 (multiplicity 12)



Structure and simulated PXRD pattern of RbLaMnWO6 (the PBE+U geometry in the Materials Project; a wavelength of 1.5418 Å).
Neutral-atom scattering factors, no anomalous dispersion.

The 10 most intense peaks (10 to 90 degrees two-theta), by angle:
d (Å), 2θ (°), I (rel.)
4.762, 18.63, 48
2.931, 30.50, 100
2.912, 30.70, 99
2.894, 30.90, 47
2.884, 31.01, 47
2.090, 43.29, 28
2.043, 44.34, 54
1.694, 54.13, 21
1.678, 54.71, 38
1.667, 55.10, 21

Cell and atoms:
Cell: 5.768 5.788 8.360 Å, 90.00 90.52 90.00°
Space group P2_1 (No. 4)
One atom of each set of equivalent atoms:
1 Rb 0.243 0.000 0.001 (multiplicity 2)
2 La 0.245 0.041 0.500 (multiplicity 2)
3 Mn 0.255 0.512 0.753 (multiplicity 2)
4 W 0.243 0.507 0.255 (multiplicity 2)
5 O 0.014 0.218 0.744 (multiplicity 2)
6 O 0.040 0.239 0.253 (multiplicity 2)
7 O 0.180 0.486 0.496 (multiplicity 2)
8 O 0.281 0.508 0.032 (multiplicity 2)
9 O 0.463 0.760 0.308 (multiplicity 2)
10 O 0.495 0.791 0.692 (multiplicity 2)



- Number 1 is which compound?
  LaMnO3